[1]
Calculated X-ray powder pattern of PrHoTe2I for Cu Kα, 1.54184 Å, from a GGA-PBE-relaxed structure.
Kinematic intensities with the Lorentz-polarization factor, no thermal factor.

Cell lengths 4.6292, 4.6292, 15.1010 Å; angles 90.00, 90.00, 90.00 degrees
Element x y z (fractional)
Pr (0.2500, 0.2500, 0.1556)
Pr (0.7500, 0.7500, 0.8444)
Ho (0.2500, 0.2500, 0.5866)
Ho (0.7500, 0.7500, 0.4134)
Te (0.2500, 0.2500, 0.3845)
Te (0.2500, 0.2500, 0.7890)
Te (0.7500, 0.7500, 0.2110)
Te (0.7500, 0.7500, 0.6155)
I (0.2500, 0.7500, 0.0000)
I (0.7500, 0.2500, 0.0000)

Most intense lines, 2θ from 10° to 80°, sorted by position:
2θ/deg	d [Å]	I/Imax
27.24	3.273	100
27.89	3.199	64
29.58	3.020	61
29.75	3.003	34
32.63	2.744	49
35.49	2.529	51
36.33	2.473	71
38.91	2.315	97
49.62	1.837	58
53.68	1.708	31
56.21	1.637	35
64.81	1.439	33



[2]
Calculated X-ray powder pattern of SrCaAu for Cu Kα, 1.54184 Å, from a GGA-PBE-relaxed structure.
Kinematic intensities with the Lorentz-polarization factor, no thermal factor.

Cell lengths 6.7778, 6.7778, 8.7853 Å; angles 121.93, 121.93, 37.29 degrees
Element x y z (fractional)
Sr (0.0792, 0.0792, 0.3666)
Sr (0.9208, 0.9208, 0.6334)
Ca (0.3234, 0.3234, 0.9221)
Ca (0.6766, 0.6766, 0.0779)
Au (0.3625, 0.3625, 0.3092)
Au (0.6375, 0.6375, 0.6908)

Most intense lines, 2θ from 10° to 80°, sorted by position:
2θ/deg	d [Å]	I/Imax
12.14	7.289	49
14.09	6.287	100
22.93	3.878	47
27.53	3.240	56
29.40	3.038	45
31.18	2.868	85
32.59	2.747	56
33.26	2.694	27
33.64	2.664	30
36.62	2.454	55
37.00	2.430	27
41.67	2.167	34



[3]
Calculated X-ray powder pattern of Sr3CaRh for Cu Kα, 1.54184 Å, from a GGA-PBE-relaxed structure.
Kinematic intensities with the Lorentz-polarization factor, no thermal factor.

Cell lengths 8.2288, 8.2288, 13.8202 Å; angles 98.20, 98.20, 65.30 degrees
Element x y z (fractional)
Sr (0.1086, 0.6175, 0.3863)
Sr (0.1227, 0.6513, 0.8631)
Sr (0.3410, 0.4187, 0.1254)
Sr (0.3487, 0.8773, 0.6369)
Sr (0.3825, 0.8914, 0.1137)
Sr (0.4187, 0.3410, 0.6254)
Sr (0.5813, 0.6590, 0.3746)
Sr (0.6175, 0.1086, 0.8863)
Sr (0.6513, 0.1227, 0.3631)
Sr (0.6590, 0.5813, 0.8746)
Sr (0.8773, 0.3487, 0.1369)
Sr (0.8914, 0.3825, 0.6137)
Ca (0.0869, 0.1738, 0.8761)
Ca (0.1738, 0.0869, 0.3761)
Ca (0.8262, 0.9131, 0.6239)
Ca (0.9131, 0.8262, 0.1239)
Rh (0.0000, 0.5000, 0.0000)
Rh (0.2280, 0.7720, 0.2500)
Rh (0.5000, 0.0000, 0.5000)
Rh (0.7720, 0.2280, 0.7500)

Most intense lines, 2θ from 10° to 80°, sorted by position:
2θ/deg	d [Å]	I/Imax
13.02	6.802	53
19.96	4.449	38
26.14	3.410	30
26.20	3.401	25
27.21	3.278	35
28.37	3.146	100
33.91	2.644	47
37.45	2.402	17
40.46	2.230	21
40.65	2.220	14
44.77	2.024	60
53.89	1.701	18



[4]
Calculated X-ray powder pattern of CdP3NO9 for Cu Kα, 1.54184 Å, from a GGA-PBE-relaxed structure.
Kinematic intensities with the Lorentz-polarization factor, no thermal factor.

Cell lengths 7.0351, 7.0351, 10.4758 Å; angles 90.00, 90.00, 120.00 degrees
Element x y z (fractional)
Cd (0.0000, 0.0000, 0.0000)
Cd (0.0000, 0.0000, 0.5000)
P (0.3969, 0.1221, 0.2500)
P (0.3969, 0.2748, 0.7500)
P (0.7252, 0.1221, 0.7500)
P (0.7252, 0.6031, 0.2500)
P (0.8779, 0.2748, 0.2500)
P (0.8779, 0.6031, 0.7500)
N (0.3333, 0.6667, 0.0000)
N (0.3333, 0.6667, 0.5000)
O (0.2778, 0.0262, 0.1272)
O (0.2778, 0.0262, 0.3728)
O (0.2778, 0.2516, 0.6272)
O (0.2778, 0.2516, 0.8728)
O (0.4888, 0.1053, 0.7500)
O (0.4888, 0.3835, 0.2500)
O (0.6165, 0.1053, 0.2500)
O (0.6165, 0.5112, 0.7500)
O (0.7484, 0.0262, 0.6272)
O (0.7484, 0.0262, 0.8728)
O (0.7484, 0.7222, 0.1272)
O (0.7484, 0.7222, 0.3728)
O (0.8947, 0.3835, 0.7500)
O (0.8947, 0.5112, 0.2500)
O (0.9738, 0.2516, 0.1272)
O (0.9738, 0.2516, 0.3728)
O (0.9738, 0.7222, 0.6272)
O (0.9738, 0.7222, 0.8728)

Most intense lines, 2θ from 10° to 80°, sorted by position:
2θ/deg	d [Å]	I/Imax
14.54	6.093	92
22.38	3.972	100
26.73	3.335	20
29.32	3.046	16
30.61	2.920	54
34.05	2.633	20
39.12	2.303	15
42.90	2.108	11
43.06	2.101	14
45.68	1.986	14
52.95	1.729	24
55.07	1.668	12



[5]
Calculated X-ray powder pattern of Ho3Sn2C for Cu Kα, 1.54184 Å, from a GGA-PBE-relaxed structure.
Kinematic intensities with the Lorentz-polarization factor, no thermal factor.

Cell lengths 6.8146, 6.8146, 6.6184 Å; angles 90.00, 90.00, 79.43 degrees
Element x y z (fractional)
Ho (0.1600, 0.8400, 0.7500)
Ho (0.3473, 0.3473, 0.0000)
Ho (0.3473, 0.3473, 0.5000)
Ho (0.6527, 0.6527, 0.0000)
Ho (0.6527, 0.6527, 0.5000)
Ho (0.8400, 0.1600, 0.2500)
Sn (0.0416, 0.6836, 0.2500)
Sn (0.3164, 0.9584, 0.2500)
Sn (0.6836, 0.0416, 0.7500)
Sn (0.9584, 0.3164, 0.7500)
C (0.4208, 0.5792, 0.7500)
C (0.5792, 0.4208, 0.2500)

Most intense lines, 2θ from 10° to 80°, sorted by position:
2θ/deg	d [Å]	I/Imax
27.50	3.243	43
29.90	2.989	21
30.12	2.967	82
30.70	2.912	77
31.99	2.798	100
34.03	2.635	79
38.88	2.316	40
40.39	2.233	21
42.51	2.127	30
49.02	1.858	21
50.16	1.819	21
65.55	1.424	21



[6]
Calculated X-ray powder pattern of Pm8Sm5Pb for Cu Kα, 1.54184 Å, from a GGA-PBE-relaxed structure.
Kinematic intensities with the Lorentz-polarization factor, no thermal factor.

Cell lengths 8.6056, 8.6056, 9.1953 Å; angles 122.19, 122.19, 81.52 degrees
Element x y z (fractional)
Pm (0.0664, 0.0664, 0.3353)
Pm (0.1261, 0.5591, 0.2505)
Pm (0.3140, 0.1238, 0.1403)
Pm (0.4409, 0.8739, 0.7495)
Pm (0.5020, 0.3651, 0.6654)
Pm (0.6349, 0.4980, 0.3346)
Pm (0.8762, 0.6860, 0.8597)
Pm (0.9336, 0.9336, 0.6647)
Sm (0.1299, 0.5612, 0.6522)
Sm (0.2541, 0.3094, 0.8604)
Sm (0.4388, 0.8701, 0.3478)
Sm (0.6906, 0.7459, 0.1396)
Sm (0.7837, 0.2163, 0.0000)
Pb (0.7843, 0.2157, 0.5000)

Most intense lines, 2θ from 10° to 80°, sorted by position:
2θ/deg	d [Å]	I/Imax
22.97	3.871	17
25.03	3.558	15
25.68	3.469	21
30.00	2.979	41
30.51	2.930	24
30.72	2.910	44
31.74	2.819	80
31.86	2.809	27
32.28	2.773	100
34.52	2.598	24
50.21	1.817	20
58.30	1.583	19



[7]
Calculated X-ray powder pattern of Pm2Tm2Sn5 for Cu Kα, 1.54184 Å, from a GGA-PBE-relaxed structure.
Kinematic intensities with the Lorentz-polarization factor, no thermal factor.

Cell lengths 8.4117, 8.4117, 10.0794 Å; angles 104.57, 104.57, 48.81 degrees
Element x y z (fractional)
Pm (0.1145, 0.1145, 0.1093)
Pm (0.3637, 0.3340, 0.3561)
Pm (0.6660, 0.6363, 0.6439)
Pm (0.8855, 0.8855, 0.8907)
Tm (0.0199, 0.9801, 0.5000)
Tm (0.2358, 0.2272, 0.7326)
Tm (0.5046, 0.4954, 0.0000)
Tm (0.7728, 0.7642, 0.2674)
Sn (0.1268, 0.6023, 0.6198)
Sn (0.1539, 0.7152, 0.1886)
Sn (0.2848, 0.8461, 0.8114)
Sn (0.3977, 0.8732, 0.3802)
Sn (0.4719, 0.0758, 0.0190)
Sn (0.6433, 0.0260, 0.5880)
Sn (0.7455, 0.1867, 0.2212)
Sn (0.8133, 0.2545, 0.7788)
Sn (0.9242, 0.5281, 0.9810)
Sn (0.9740, 0.3567, 0.4120)

Most intense lines, 2θ from 10° to 80°, sorted by position:
2θ/deg	d [Å]	I/Imax
25.90	3.440	28
31.93	2.803	32
32.07	2.791	100
32.64	2.744	30
33.23	2.696	17
35.16	2.553	15
38.46	2.341	52
45.35	2.000	19
52.68	1.738	8
60.49	1.531	8
65.55	1.424	12
67.06	1.396	9



[8]
Calculated X-ray powder pattern of In4Hg4Pb5 for Cu Kα, 1.54184 Å, from a GGA-PBE-relaxed structure.
Kinematic intensities with the Lorentz-polarization factor, no thermal factor.

Cell lengths 8.9040, 8.9040, 8.9040 Å; angles 94.68, 94.68, 146.82 degrees
Element x y z (fractional)
In (0.0964, 0.3957, 0.4921)
In (0.3957, 0.9036, 0.2993)
In (0.6043, 0.0964, 0.7007)
In (0.9036, 0.6043, 0.5079)
Hg (0.1187, 0.7598, 0.8785)
Hg (0.2402, 0.1187, 0.3588)
Hg (0.7598, 0.8813, 0.6412)
Hg (0.8813, 0.2402, 0.1215)
Pb (0.0000, 0.0000, 0.0000)
Pb (0.3109, 0.5786, 0.8895)
Pb (0.4214, 0.3109, 0.7324)
Pb (0.5786, 0.6891, 0.2676)
Pb (0.6891, 0.4214, 0.1105)

Most intense lines, 2θ from 10° to 80°, sorted by position:
2θ/deg	d [Å]	I/Imax
10.37	8.533	6
24.05	3.701	8
32.01	2.796	100
33.20	2.698	13
35.34	2.540	42
38.02	2.367	21
49.25	1.850	12
52.85	1.732	17
61.30	1.512	16
62.86	1.478	9
64.94	1.436	9
69.96	1.345	6